Entry 1:
Theoretical XRD peak list of Cs2TbCu2Te4 for a wavelength of 1.5418 Å, from a GGA-PBE-relaxed structure.
Peak positions follow from Bragg's law for the DFT cell and can differ from measured ones.

Structure:
Cell lengths 8.379, 8.379, 9.127 Å; angles 106.95, 106.95, 30.00 degrees
Positions (direct):
Cs 0.134 0.134 0.052
Cs 0.866 0.866 0.948
Tb 0.000 0.000 0.500
Cu 0.320 0.320 0.515
Cu 0.680 0.680 0.485
Te 0.200 0.200 0.662
Te 0.476 0.476 0.723
Te 0.524 0.524 0.277
Te 0.800 0.800 0.338

The 6 most intense peaks (10 to 90 degrees two-theta), by angle:
- d = 8.702 Å, I = 40
- d = 3.449 Å, I = 32
- d = 3.318 Å, I = 36
- d = 3.188 Å, I = 46
- d = 3.144 Å, I = 100
- d = 1.999 Å, I = 39

***

Entry 2:
Theoretical XRD peak list of CsCu6Te4 for a wavelength of 1.5418 Å, from a GGA-PBE-relaxed structure.
Peak positions follow from Bragg's law for the DFT cell and can differ from measured ones.

Structure:
Cell lengths 14.395, 14.395, 14.395 Å; angles 162.73, 162.73, 24.52 degrees
Positions (direct):
Cs 0.000 0.000 0.000
Cu 0.136 0.636 0.500
Cu 0.250 0.750 0.500
Cu 0.364 0.864 0.500
Cu 0.636 0.136 0.500
Cu 0.750 0.250 0.500
Cu 0.864 0.364 0.500
Te 0.195 0.195 0.000
Te 0.415 0.415 0.000
Te 0.585 0.585 0.000
Te 0.805 0.805 0.000

The 6 most intense peaks (10 to 90 degrees two-theta), by angle:
- d = 3.428 Å, I = 100
- d = 2.307 Å, I = 33
- d = 2.161 Å, I = 42
- d = 2.070 Å, I = 47
- d = 1.828 Å, I = 33
- d = 1.230 Å, I = 16

***

Entry 3:
Theoretical XRD peak list of CsCuTe3 for a wavelength of 1.5418 Å, from a GGA-PBE-relaxed structure.
Peak positions follow from Bragg's law for the DFT cell and can differ from measured ones.

Structure:
Cell lengths 5.932, 7.517, 8.256 Å; angles 89.94, 89.99, 77.15 degrees
Positions (direct):
Cs 0.000 0.000 0.000
Cs 0.478 0.668 0.499
Cu 0.143 0.247 0.499
Cu 0.336 0.423 0.999
Te 0.020 0.486 0.231
Te 0.020 0.486 0.767
Te 0.458 0.182 0.732
Te 0.460 0.182 0.267
Te 0.637 0.625 0.999
Te 0.842 0.044 0.500

The 6 most intense peaks (10 to 90 degrees two-theta), by angle:
- d = 3.463 Å, I = 75
- d = 3.216 Å, I = 83
- d = 2.915 Å, I = 100
- d = 2.102 Å, I = 39
- d = 2.064 Å, I = 28
- d = 1.879 Å, I = 50

***

Entry 4:
Theoretical XRD peak list of CsCu2Te2 for a wavelength of 1.5418 Å, from a GGA-PBE-relaxed structure.
Peak positions follow from Bragg's law for the DFT cell and can differ from measured ones.

Structure:
Cell lengths 8.762, 7.374, 7.220 Å; angles 73.78, 53.92, 52.30 degrees
Positions (direct):
Cs 0.125 0.125 0.125
Cs 0.875 0.875 0.875
Cu 0.260 0.490 0.260
Cu 0.490 0.260 0.490
Cu 0.510 0.740 0.510
Cu 0.740 0.510 0.740
Te 0.200 0.200 0.550
Te 0.450 0.450 0.800
Te 0.550 0.550 0.200
Te 0.800 0.800 0.450

The 6 most intense peaks (10 to 90 degrees two-theta), by angle:
- d = 3.525 Å, I = 57
- d = 3.260 Å, I = 100
- d = 2.730 Å, I = 81
- d = 2.035 Å, I = 42
- d = 1.929 Å, I = 48
- d = 1.841 Å, I = 31

***

Entry 5:
Theoretical XRD peak list of CsTi2Cu2Te8 for a wavelength of 1.5418 Å, from a GGA-PBE-relaxed structure.
Peak positions follow from Bragg's law for the DFT cell and can differ from measured ones.

Structure:
Cell lengths 10.258, 10.258, 13.278 Å; angles 127.72, 127.72, 22.27 degrees
Positions (direct):
Cs 0.000 0.000 0.000
Ti 0.313 0.313 0.191
Ti 0.711 0.711 0.575
Cu 0.251 0.251 0.439
Cu 0.774 0.774 0.320
Te 0.091 0.091 0.531
Te 0.319 0.319 0.980
Te 0.332 0.332 0.686
Te 0.383 0.383 0.441
Te 0.641 0.641 0.325
Te 0.691 0.691 0.072
Te 0.699 0.699 0.778
Te 0.932 0.932 0.234

The 6 most intense peaks (10 to 90 degrees two-theta), by angle:
- d = 7.868 Å, I = 56
- d = 3.307 Å, I = 92
- d = 3.161 Å, I = 100
- d = 3.107 Å, I = 45
- d = 2.950 Å, I = 40
- d = 1.981 Å, I = 36

***

Entry 6:
Theoretical XRD peak list of Cs2ZrCuTe4 for a wavelength of 1.5418 Å, from a GGA-PBE-relaxed structure.
Peak positions follow from Bragg's law for the DFT cell and can differ from measured ones.

Structure:
Cell lengths 16.027, 14.314, 8.492 Å; angles 85.25, 62.88, 31.87 degrees
Positions (direct):
Cs 0.053 0.053 0.697
Cs 0.303 0.303 0.947
Cs 0.697 0.697 0.053
Cs 0.947 0.947 0.303
Zr 0.125 0.125 0.125
Zr 0.875 0.875 0.875
Cu 0.375 0.375 0.375
Cu 0.625 0.625 0.625
Te 0.013 0.345 0.434
Te 0.293 0.566 0.655
Te 0.345 0.013 0.707
Te 0.434 0.707 0.013
Te 0.566 0.293 0.987
Te 0.655 0.987 0.293
Te 0.707 0.434 0.345
Te 0.987 0.655 0.566

The 6 most intense peaks (10 to 90 degrees two-theta), by angle:
- d = 4.005 Å, I = 62
- d = 3.710 Å, I = 100
- d = 3.489 Å, I = 30
- d = 3.276 Å, I = 89
- d = 2.621 Å, I = 39
- d = 2.023 Å, I = 32

***

Entry 7:
Theoretical XRD peak list of Cs3TiCu for a wavelength of 1.5418 Å, from a GGA-PBE-relaxed structure.
Peak positions follow from Bragg's law for the DFT cell and can differ from measured ones.

Structure:
Cell lengths 6.893, 6.893, 6.893 Å; angles 90.00, 90.00, 90.00 degrees
Positions (direct):
Cs 0.000 0.000 0.500
Cs 0.000 0.500 0.000
Cs 0.500 0.000 0.000
Ti 0.500 0.500 0.500
Cu 0.000 0.000 0.000

The 6 most intense peaks (10 to 90 degrees two-theta), by angle:
- d = 6.893 Å, I = 43
- d = 3.980 Å, I = 100
- d = 3.446 Å, I = 99
- d = 2.437 Å, I = 76
- d = 2.078 Å, I = 50
- d = 1.541 Å, I = 36

***

Entry 8:
Theoretical XRD peak list of Cs2Tl4Cu for a wavelength of 1.5418 Å, from a GGA-PBE-relaxed structure.
Peak positions follow from Bragg's law for the DFT cell and can differ from measured ones.

Structure:
Cell lengths 5.350, 5.350, 20.806 Å; angles 90.00, 90.00, 90.00 degrees
Positions (direct):
Cs 0.000 0.000 0.166
Cs 0.000 0.000 0.834
Cs 0.500 0.500 0.334
Cs 0.500 0.500 0.666
Tl 0.000 0.000 0.373
Tl 0.000 0.000 0.627
Tl 0.000 0.500 0.000
Tl 0.000 0.500 0.500
Tl 0.500 0.000 0.000
Tl 0.500 0.000 0.500
Tl 0.500 0.500 0.127
Tl 0.500 0.500 0.873
Cu 0.000 0.000 0.500
Cu 0.500 0.500 0.000

The 6 most intense peaks (10 to 90 degrees two-theta), by angle:
- d = 3.555 Å, I = 44
- d = 3.059 Å, I = 100
- d = 2.675 Å, I = 60
- d = 2.119 Å, I = 44
- d = 1.662 Å, I = 28
- d = 1.609 Å, I = 31

***

Entry 9:
Theoretical XRD peak list of CsTl2Cu2 for a wavelength of 1.5418 Å, from a GGA-PBE-relaxed structure.
Peak positions follow from Bragg's law for the DFT cell and can differ from measured ones.

Structure:
Cell lengths 5.042, 5.042, 11.156 Å; angles 90.00, 90.00, 90.00 degrees
Positions (direct):
Cs 0.000 0.000 0.000
Cs 0.500 0.500 0.500
Tl 0.000 0.500 0.250
Tl 0.000 0.500 0.750
Tl 0.500 0.000 0.250
Tl 0.500 0.000 0.750
Cu 0.000 0.000 0.388
Cu 0.000 0.000 0.612
Cu 0.500 0.500 0.112
Cu 0.500 0.500 0.888

The 6 most intense peaks (10 to 90 degrees two-theta), by angle:
- d = 5.578 Å, I = 21
- d = 3.004 Å, I = 100
- d = 2.521 Å, I = 46
- d = 2.197 Å, I = 22
- d = 1.783 Å, I = 16
- d = 1.533 Å, I = 29

***

Entry 10:
Theoretical XRD peak list of CsDy3F10 for a wavelength of 1.5418 Å, from a GGA-PBE-relaxed structure.
Peak positions follow from Bragg's law for the DFT cell and can differ from measured ones.

Structure:
Cell lengths 8.343, 8.343, 8.343 Å; angles 60.00, 60.00, 60.00 degrees
Positions (direct):
Cs 0.250 0.250 0.250
Cs 0.750 0.750 0.750
Dy 0.240 0.240 0.760
Dy 0.240 0.760 0.240
Dy 0.240 0.760 0.760
Dy 0.760 0.240 0.240
Dy 0.760 0.240 0.760
Dy 0.760 0.760 0.240
F 0.109 0.109 0.109
F 0.109 0.109 0.674
F 0.109 0.674 0.109
F 0.173 0.500 0.500
F 0.173 0.500 0.827
F 0.173 0.827 0.500
F 0.326 0.891 0.891
F 0.500 0.173 0.500
F 0.500 0.173 0.827
F 0.500 0.500 0.173
F 0.500 0.500 0.827
F 0.500 0.827 0.173
F 0.500 0.827 0.500
F 0.674 0.109 0.109
F 0.827 0.173 0.500
F 0.827 0.500 0.173
F 0.827 0.500 0.500
F 0.891 0.326 0.891
F 0.891 0.891 0.326
F 0.891 0.891 0.891

The 6 most intense peaks (10 to 90 degrees two-theta), by angle:
- d = 3.406 Å, I = 100
- d = 2.950 Å, I = 42
- d = 2.086 Å, I = 46
- d = 1.779 Å, I = 55
- d = 1.353 Å, I = 19
- d = 1.204 Å, I = 16

***

Entry 11:
Theoretical XRD peak list of Cs2DyHF6 for a wavelength of 1.5418 Å, from a GGA-PBE-relaxed structure.
Peak positions follow from Bragg's law for the DFT cell and can differ from measured ones.

Structure:
Cell lengths 7.378, 6.293, 6.281 Å; angles 71.85, 54.15, 54.00 degrees
Positions (direct):
Cs 0.250 0.250 0.250
Cs 0.750 0.750 0.750
Dy 0.000 0.000 0.000
H 0.500 0.500 0.500
F 0.206 0.206 0.794
F 0.206 0.794 0.206
F 0.333 0.667 0.667
F 0.667 0.333 0.333
F 0.794 0.206 0.794
F 0.794 0.794 0.206

The 6 most intense peaks (10 to 90 degrees two-theta), by angle:
- d = 5.085 Å, I = 61
- d = 3.689 Å, I = 86
- d = 2.911 Å, I = 100
- d = 2.612 Å, I = 30
- d = 2.605 Å, I = 30
- d = 1.943 Å, I = 56

***

Entry 12:
Theoretical XRD peak list of Cs2DyInF6 for a wavelength of 1.5418 Å, from a GGA-PBE-relaxed structure.
Peak positions follow from Bragg's law for the DFT cell and can differ from measured ones.

Structure:
Cell lengths 6.892, 6.848, 11.854 Å; angles 90.00, 125.18, 90.00 degrees
Positions (direct):
Cs 0.245 0.019 0.250
Cs 0.245 0.481 0.750
Cs 0.755 0.519 0.250
Cs 0.755 0.981 0.750
Dy 0.000 0.000 0.500
Dy 0.000 0.500 0.000
In 0.500 0.000 0.000
In 0.500 0.500 0.500
F 0.159 0.248 0.463
F 0.159 0.252 0.963
F 0.212 0.701 0.968
F 0.212 0.799 0.468
F 0.286 0.015 0.722
F 0.286 0.485 0.222
F 0.714 0.515 0.778
F 0.714 0.985 0.278
F 0.788 0.201 0.532
F 0.788 0.299 0.032
F 0.841 0.748 0.037
F 0.841 0.752 0.537

The 6 most intense peaks (10 to 90 degrees two-theta), by angle:
- d = 3.441 Å, I = 100
- d = 3.423 Å, I = 99
- d = 2.429 Å, I = 40
- d = 1.990 Å, I = 23
- d = 1.981 Å, I = 29
- d = 1.977 Å, I = 36

***

Please write out number 8 again, unchanged.
Theoretical XRD peak list of Cs2Tl4Cu for a wavelength of 1.5418 Å, from a GGA-PBE-relaxed structure.
Peak positions follow from Bragg's law for the DFT cell and can differ from measured ones.

Structure:
Cell lengths 5.350, 5.350, 20.806 Å; angles 90.00, 90.00, 90.00 degrees
Positions (direct):
Cs 0.000 0.000 0.166
Cs 0.000 0.000 0.834
Cs 0.500 0.500 0.334
Cs 0.500 0.500 0.666
Tl 0.000 0.000 0.373
Tl 0.000 0.000 0.627
Tl 0.000 0.500 0.000
Tl 0.000 0.500 0.500
Tl 0.500 0.000 0.000
Tl 0.500 0.000 0.500
Tl 0.500 0.500 0.127
Tl 0.500 0.500 0.873
Cu 0.000 0.000 0.500
Cu 0.500 0.500 0.000

The 6 most intense peaks (10 to 90 degrees two-theta), by angle:
- d = 3.555 Å, I = 44
- d = 3.059 Å, I = 100
- d = 2.675 Å, I = 60
- d = 2.119 Å, I = 44
- d = 1.662 Å, I = 28
- d = 1.609 Å, I = 31